Theoretical XRD peak list of Co2AsClO4 for λ = 1.5418 Å (Cu Kα), from the PBE+U geometry in OQMD.

Crystal structure
a b c (Å): 4.932 6.658 6.797
angles (deg): 90.00 90.71 90.00
Element x y z (fractional)
Co 0.000 0.000 0.000
Co 0.000 0.500 0.000
Co 0.346 0.250 0.263
Co 0.654 0.750 0.737
As 0.491 0.250 0.757
As 0.509 0.750 0.243
Cl 0.170 0.750 0.757
Cl 0.830 0.250 0.243
O 0.242 0.250 0.941
O 0.302 0.545 0.205
O 0.302 0.955 0.205
O 0.311 0.250 0.547
O 0.689 0.750 0.453
O 0.698 0.045 0.795
O 0.698 0.455 0.795
O 0.758 0.750 0.059

The 10 most intense peaks (15° ≤ 2θ ≤ 90°), in order of falling intensity:
index, 2θ (°), d_spacing, intensity
1 2 0, 32.45, 2.759, 100
0 2 2, 37.83, 2.378, 96
0 0 2, 26.20, 3.402, 73
1 0 -2, 31.79, 2.814, 60
1 0 -1, 22.14, 4.015, 59
1 0 2, 32.17, 2.782, 54
2 0 1, 38.98, 2.310, 54
0 2 0, 26.78, 3.329, 50
1 1 -1, 25.91, 3.438, 39
0 4 0, 55.18, 1.665, 33